For Rb3TlCl6, a DFT-relaxed cell (GGA-PBE, the Materials Project) gives the theoretical powder X-ray diffraction pattern in this record (copper Kα).

Top 10 peaks for 2θ = 10–90°, by intensity:
| Position (°2θ) | I_rel |
| --- | --- |
| 21.99 | 100.0 |
| 31.30 | 61.1 |
| 38.59 | 45.8 |
| 44.86 | 41.7 |
| 60.62 | 27.4 |
| 15.50 | 27.2 |
| 13.42 | 26.9 |
| 50.50 | 24.5 |
| 74.21 | 16.8 |
| 86.91 | 15.5 |

Structure:
Cell: 11.4303 11.4303 11.4303 Å, 90.00 90.00 90.00°
Space group Fm-3m (No. 225)
Inequivalent atoms, fractional coordinates:
Rb1 0.0000 0.0000 0.0000 (multiplicity 4)
Rb2 0.2500 0.2500 0.2500 (multiplicity 8)
Tl1 0.0000 0.0000 0.5000 (multiplicity 4)
Cl1 0.0000 0.0000 0.2711 (multiplicity 24)

=====

For Cu3B7IO13, a DFT-relaxed cell (GGA-PBE, the Materials Project) gives the theoretical powder X-ray diffraction pattern in this record (copper Kα).

Top 10 peaks for 2θ = 10–90°, by intensity:
| Position (°2θ) | I_rel |
| --- | --- |
| 29.43 | 100.0 |
| 33.00 | 95.2 |
| 42.11 | 63.9 |
| 14.59 | 35.1 |
| 69.22 | 31.5 |
| 52.20 | 30.5 |
| 63.16 | 29.1 |
| 76.96 | 28.2 |
| 44.80 | 23.7 |
| 54.51 | 20.5 |

Structure:
Cell: 12.1395 12.1395 12.1395 Å, 90.00 90.00 90.00°
Space group F-43c (No. 219)
Inequivalent atoms, fractional coordinates:
Cu1 0.0000 0.0000 0.2500 (multiplicity 24)
B1 0.0000 0.2500 0.2500 (multiplicity 24)
B2 0.1695 0.1695 0.3305 (multiplicity 32)
I1 0.0000 0.0000 0.0000 (multiplicity 8)
O1 0.0702 0.1528 0.2683 (multiplicity 96)
O2 0.2500 0.2500 0.2500 (multiplicity 8)